For LiAg3IrSe4, a structure optimized by DFT (PBE) gives the computed powder diffractogram in this record (Cu Kα, 1.54184 Å).
Neutral-atom scattering factors, no anomalous dispersion.

Top 10 peaks for 2θ from 10° to 90°, by angle:
14.30°, rel. 100.0, (1 0 0)
24.89°, rel. 42.5, (1 1 1)
32.31°, rel. 36.2, (2 1 0)
41.22°, rel. 93.3, (2 2 0)
43.84°, rel. 26.5, (2 2 1)
48.75°, rel. 18.1, (3 1 1)
53.32°, rel. 19.5, (3 2 0)
59.71°, rel. 14.7, (4 0 0)
61.74°, rel. 11.9, (4 1 0)
75.13°, rel. 28.8, (4 2 2)

Atomic structure:
a b c (Å): 6.1950 6.1950 6.1950
angles (deg): 90.00 90.00 90.00
Space group P-43m (No. 215)
One atom of each set of equivalent atoms:
Li 0.0000 0.0000 0.0000
Ag 0.0000 0.5000 0.5000
Ir 0.5000 0.5000 0.5000
Se 0.2669 0.2669 0.2669